Calculated X-ray diffraction stick pattern
Compound: Li5Ca2Cd
Radiation: Cu Kα, 1.54184 Å
Structure: a DFT-relaxed cell (GGA-PBE, Alexandria)

The 12 most intense peaks (10° ≤ 2θ ≤ 90°), sorted by position:
2θ 14.48, I = 52, hkl 0 0 2
2θ 16.24, I = 100, hkl 1 0 1
2θ 25.27, I = 34, hkl 1 1 2
2θ 26.29, I = 29, hkl 1 0 3
2θ 29.28, I = 32, hkl 2 0 0
2θ 32.82, I = 41, hkl 2 0 2
2θ 33.67, I = 33, hkl 2 1 1
2θ 36.00, I = 38, hkl 1 1 4
2θ 39.73, I = 30, hkl 1 0 5
2θ 41.88, I = 21, hkl 2 2 0
2θ 50.10, I = 16, hkl 2 1 5
2θ 56.40, I = 19, hkl 3 1 4

Structural model:
Cell: 6.099 6.099 12.235 Å, 90.00 90.00 90.00°
Space group I4mm (No. 107)
Unique sites:
Li 0.000 0.000 0.000 (multiplicity 2)
Li 0.247 0.247 0.642 (multiplicity 8)
Ca 0.000 0.500 0.386 (multiplicity 4)
Cd 0.000 0.000 0.788 (multiplicity 2)